Starting from a DFT-relaxed cell (PBE+U, Alexandria), the powder X-ray diffraction pattern of Sr3MnB2O6 was computed for Cu Kα X-rays.
Intensities are scaled so that the largest is 100.

Structure:
Unit cell a=5.3178 b=5.3178 c=7.4804 alpha=90.00 beta=90.00 gamma=120.00
Space group P-3m1 (No. 164)
Asymmetric unit:
Sr 0.0000 0.0000 0.0000
Sr 0.3333 0.6667 0.7065
Mn 0.0000 0.0000 0.5000
B 0.3333 0.6667 0.2976
O 0.1819 0.3638 0.3088

Main lines, low angle first (10 to 90 degrees two-theta):
- 2θ = 22.7°, 3.922 Å, intensity 51, hkl 1 0 1
- 2θ = 30.8°, 2.903 Å, intensity 100, hkl 0 1 2
- 2θ = 33.7°, 2.659 Å, intensity 71, hkl 1 1 0
- 2θ = 36.0°, 2.493 Å, intensity 15, hkl 0 0 3
- 2θ = 41.0°, 2.201 Å, intensity 43, hkl 0 2 1
- 2θ = 46.3°, 1.961 Å, intensity 50, hkl 2 0 2
- 2θ = 54.1°, 1.695 Å, intensity 14, hkl 2 1 1
- 2θ = 58.5°, 1.578 Å, intensity 27, hkl 1 2 2
- 2θ = 60.5°, 1.530 Å, intensity 14, hkl 1 1 4
- 2θ = 70.9°, 1.329 Å, intensity 13, hkl 2 2 0



Starting from a DFT-relaxed cell (PBE+U, Alexandria), the powder X-ray diffraction pattern of Sr2FeO3F was computed for Cu Kα X-rays.
Intensities are scaled so that the largest is 100.

Structure:
Unit cell a=3.940 b=3.940 c=13.028 alpha=90.00 beta=90.00 gamma=90.00
Space group I4mm (No. 107)
Asymmetric unit:
Sr 0.000 0.000 0.000
Sr 0.000 0.000 0.271
Fe 0.000 0.000 0.618
O 0.000 0.000 0.468
O 0.000 0.500 0.142
F 0.000 0.000 0.814

Main lines, low angle first (10 to 90 degrees two-theta):
- 2θ = 13.6°, 6.514 Å, intensity 16, hkl 0 0 2
- 2θ = 30.6°, 2.918 Å, intensity 100, hkl 1 0 3
- 2θ = 32.1°, 2.786 Å, intensity 89, hkl 1 1 0
- 2θ = 41.6°, 2.173 Å, intensity 48, hkl 0 0 6
- 2θ = 42.7°, 2.117 Å, intensity 38, hkl 1 1 4
- 2θ = 46.1°, 1.970 Å, intensity 50, hkl 2 0 0
- 2θ = 56.3°, 1.633 Å, intensity 36, hkl 2 1 3
- 2θ = 63.8°, 1.459 Å, intensity 30, hkl 2 0 6
- 2θ = 67.2°, 1.393 Å, intensity 15, hkl 2 2 0
- 2θ = 76.4°, 1.246 Å, intensity 14, hkl 3 1 0